[1]
Starting from a cell relaxed with PBE, the X-ray powder pattern of CsFeCl4 was computed for copper Kα.
Peak positions follow from Bragg's law for the DFT cell and can differ from measured ones.

Crystal structure
Cell lengths 11.8656, 7.3822, 9.7869 Å; angles 90.00, 90.00, 90.00 degrees
Space group Pnma (No. 62)
Unique sites:
Cs1 0.1808 0.2500 0.1656 x4
Fe1 0.0693 0.2500 0.6949 x4
Cl1 0.0836 0.0071 0.8274 x8
Cl2 0.0958 0.7500 0.4068 x4
Cl3 0.2118 0.2500 0.5501 x4

Top 10 peaks for 15° ≤ 2θ ≤ 90°, sorted by position:
- 4.624 Å, intensity 85, hkl 2 1 0
- 4.524 Å, intensity 38, hkl 1 0 2
- 4.181 Å, intensity 91, hkl 2 1 1
- 3.857 Å, intensity 85, hkl 1 1 2
- 3.691 Å, intensity 52, hkl 0 2 0
- 3.361 Å, intensity 33, hkl 2 1 2
- 2.985 Å, intensity 44, hkl 2 2 1
- 2.894 Å, intensity 46, hkl 1 1 3
- 2.860 Å, intensity 71, hkl 1 2 2
- 2.839 Å, intensity 100, hkl 4 0 1

=====

[2]
Starting from a cell relaxed with PBE, the X-ray powder pattern of CsLaZr6FeCl18 was computed for copper Kα.
Peak positions follow from Bragg's law for the DFT cell and can differ from measured ones.

Crystal structure
Cell lengths 9.8622, 9.8622, 18.7329 Å; angles 90.00, 90.00, 120.00 degrees
Space group P-31c (No. 163)
Unique sites:
Cs1 0.3333 0.6667 0.2500 x2
La1 0.3333 0.6667 0.7500 x2
Zr1 0.0420 0.2199 0.5749 x12
Fe1 0.0000 0.0000 0.0000 x2
Cl1 0.0443 0.2326 0.3416 x12
Cl2 0.0811 0.4563 0.6634 x12
Cl3 0.1465 0.4195 0.0012 x12

Top 10 peaks for 15° ≤ 2θ ≤ 90°, sorted by position:
- 4.363 Å, intensity 61, hkl 1 1 2
- 4.106 Å, intensity 32, hkl 1 0 4
- 3.396 Å, intensity 55, hkl 2 -1 4
- 2.868 Å, intensity 31, hkl 3 -1 3
- 2.658 Å, intensity 100, hkl 3 -1 4
- 2.244 Å, intensity 46, hkl 3 -1 6
- 2.182 Å, intensity 31, hkl 4 -2 4
- 1.895 Å, intensity 28, hkl 2 1 8
- 1.864 Å, intensity 39, hkl 4 1 0
- 1.855 Å, intensity 31, hkl 5 -1 1

=====

[3]
Starting from a cell relaxed with PBE, the X-ray powder pattern of Cs4FeSbCl12 was computed for copper Kα.
Peak positions follow from Bragg's law for the DFT cell and can differ from measured ones.

Crystal structure
Cell lengths 7.4005, 7.4005, 10.6085 Å; angles 90.00, 90.00, 90.00 degrees
Space group P4/mmm (No. 123)
Unique sites:
Cs1 0.0000 0.5000 0.2425 x4
Fe1 0.0000 0.0000 0.0000 x1
Sb1 0.5000 0.5000 0.5000 x1
Cl1 0.0000 0.0000 0.2143 x2
Cl2 0.2178 0.2178 0.0000 x4
Cl3 0.2581 0.2581 0.5000 x4
Cl4 0.5000 0.5000 0.2596 x2

Top 10 peaks for 15° ≤ 2θ ≤ 90°, sorted by position:
- 3.725 Å, intensity 93, hkl 1 1 2
- 3.700 Å, intensity 46, hkl 2 0 0
- 3.035 Å, intensity 100, hkl 2 0 2
- 2.652 Å, intensity 36, hkl 0 0 4
- 2.616 Å, intensity 71, hkl 2 2 0
- 2.141 Å, intensity 39, hkl 3 1 2
- 1.863 Å, intensity 45, hkl 2 2 4
- 1.850 Å, intensity 23, hkl 4 0 0
- 1.580 Å, intensity 22, hkl 4 2 2
- 1.517 Å, intensity 22, hkl 4 0 4

=====

[4]
Starting from a cell relaxed with PBE, the X-ray powder pattern of Cs8Ga11Cl was computed for copper Kα.
Peak positions follow from Bragg's law for the DFT cell and can differ from measured ones.

Crystal structure
Cell lengths 10.1668, 10.1668, 51.2871 Å; angles 90.00, 90.00, 120.00 degrees
Space group R-3c (No. 167, hexagonal axes)
Unique sites:
Cs1 0.0000 0.0000 0.0745 x12
Cs2 0.0287 0.4090 0.3107 x36
Ga1 0.0000 0.0000 0.2056 x12
Ga2 0.0000 0.1878 0.2500 x18
Ga3 0.0009 0.2521 0.7229 x36
Cl1 0.0000 0.0000 0.0000 x6

Top 10 peaks for 15° ≤ 2θ ≤ 90°, sorted by position:
- 4.369 Å, intensity 52, hkl 1 1 6
- 3.793 Å, intensity 71, hkl 1 1 9
- 3.629 Å, intensity 71, hkl 2 0 8
- 3.382 Å, intensity 34, hkl 0 1 14
- 3.340 Å, intensity 31, hkl 0 2 10
- 3.321 Å, intensity 61, hkl 2 1 1
- 3.300 Å, intensity 36, hkl 1 2 2
- 2.935 Å, intensity 78, hkl 3 0 0
- 2.837 Å, intensity 100, hkl 1 1 15
- 2.032 Å, intensity 41, hkl 3 1 14